[1]
# PmZrBe17
Simulated powder diffraction line list, Cu Kα. Input: the GGA-PBE geometry in Alexandria.
Neutral-atom scattering factors, no anomalous dispersion.

Peak list (10 most intense, 2θ from 5° to 70°, low angle first)
| 2θ/deg | I_rel |
| --- | --- |
| 15.5 | 68 |
| 20.8 | 32 |
| 23.2 | 100 |
| 23.8 | 32 |
| 33.5 | 96 |
| 40.8 | 33 |
| 47.4 | 27 |
| 47.8 | 48 |
| 48.8 | 24 |
| 69.6 | 25 |

Structure:
Unit cell a=5.790 b=5.790 c=5.790 alpha=82.92 beta=82.92 gamma=82.92
Fractional coordinates of all 19 atoms:
Pm 0.000 0.000 0.000
Zr 0.675 0.675 0.675
Be 0.057 0.341 0.618
Be 0.057 0.618 0.341
Be 0.182 0.675 0.675
Be 0.246 0.246 0.246
Be 0.341 0.057 0.618
Be 0.341 0.618 0.057
Be 0.343 0.343 0.836
Be 0.343 0.836 0.343
Be 0.437 0.437 0.437
Be 0.498 0.998 0.998
Be 0.618 0.057 0.341
Be 0.618 0.341 0.057
Be 0.675 0.182 0.675
Be 0.675 0.675 0.182
Be 0.836 0.343 0.343
Be 0.998 0.498 0.998
Be 0.998 0.998 0.498

***

[2]
# LaCrC2
Simulated powder diffraction line list, Cu Kα. Input: the GGA-PBE geometry in Alexandria.
Neutral-atom scattering factors, no anomalous dispersion.

Peak list (10 most intense, 2θ from 5° to 70°, low angle first)
| 2θ/deg | I_rel |
| --- | --- |
| 29.7 | 66 |
| 30.9 | 100 |
| 31.9 | 46 |
| 33.7 | 17 |
| 39.4 | 19 |
| 47.1 | 14 |
| 48.5 | 17 |
| 56.3 | 18 |
| 59.3 | 18 |
| 66.8 | 17 |

Structure:
Unit cell a=6.337 b=6.337 c=7.496 alpha=90.00 beta=90.00 gamma=127.51
Fractional coordinates of all 16 atoms:
La 0.168 0.832 0.931
La 0.332 0.668 0.431
La 0.668 0.332 0.569
La 0.832 0.168 0.069
Cr 0.060 0.940 0.358
Cr 0.440 0.560 0.858
Cr 0.560 0.440 0.142
Cr 0.940 0.060 0.642
C 0.109 0.891 0.594
C 0.115 0.385 0.750
C 0.385 0.115 0.250
C 0.391 0.609 0.094
C 0.609 0.391 0.906
C 0.615 0.885 0.750
C 0.885 0.615 0.250
C 0.891 0.109 0.406

***

[3]
# Ce3MnAl24Cu8
Simulated powder diffraction line list, Cu Kα. Input: the GGA-PBE geometry in Alexandria.
Neutral-atom scattering factors, no anomalous dispersion.

Peak list (10 most intense, 2θ from 5° to 70°, low angle first)
| 2θ/deg | I_rel |
| --- | --- |
| 10.5 | 49 |
| 18.2 | 28 |
| 29.9 | 19 |
| 33.6 | 40 |
| 35.3 | 100 |
| 36.9 | 38 |
| 38.5 | 23 |
| 44.2 | 18 |
| 45.6 | 23 |
| 65.4 | 20 |

Structure:
Unit cell a=8.440 b=8.440 c=8.440 alpha=90.00 beta=90.00 gamma=90.00
Fractional coordinates of all 36 atoms:
Ce 0.000 0.000 0.500
Ce 0.000 0.500 0.000
Ce 0.500 0.000 0.000
Mn 0.500 0.500 0.500
Al 0.000 0.336 0.336
Al 0.000 0.336 0.664
Al 0.000 0.664 0.336
Al 0.000 0.664 0.664
Al 0.271 0.271 0.500
Al 0.271 0.500 0.271
Al 0.271 0.500 0.729
Al 0.271 0.729 0.500
Al 0.336 0.000 0.336
Al 0.336 0.000 0.664
Al 0.336 0.336 0.000
Al 0.336 0.664 0.000
Al 0.500 0.271 0.271
Al 0.500 0.271 0.729
Al 0.500 0.729 0.271
Al 0.500 0.729 0.729
Al 0.664 0.000 0.336
Al 0.664 0.000 0.664
Al 0.664 0.336 0.000
Al 0.664 0.664 0.000
Al 0.729 0.271 0.500
Al 0.729 0.500 0.271
Al 0.729 0.500 0.729
Al 0.729 0.729 0.500
Cu 0.154 0.154 0.154
Cu 0.154 0.154 0.846
Cu 0.154 0.846 0.154
Cu 0.154 0.846 0.846
Cu 0.846 0.154 0.154
Cu 0.846 0.154 0.846
Cu 0.846 0.846 0.154
Cu 0.846 0.846 0.846

***

[4]
# TlFe2Pd9
Simulated powder diffraction line list, Cu Kα. Input: the GGA-PBE geometry in Alexandria.
Neutral-atom scattering factors, no anomalous dispersion.

Peak list (10 most intense, 2θ from 5° to 70°, low angle first)
| 2θ/deg | I_rel |
| --- | --- |
| 7.5 | 6 |
| 23.7 | 5 |
| 35.4 | 4 |
| 38.0 | 4 |
| 39.4 | 100 |
| 45.8 | 33 |
| 46.0 | 15 |
| 61.0 | 3 |
| 66.8 | 11 |
| 66.9 | 19 |

Structure:
Unit cell a=3.962 b=3.962 c=11.847 alpha=90.00 beta=90.00 gamma=90.00
Fractional coordinates of all 12 atoms:
Tl 0.000 0.000 0.000
Fe 0.000 0.000 0.337
Fe 0.000 0.000 0.663
Pd 0.000 0.500 0.182
Pd 0.000 0.500 0.500
Pd 0.000 0.500 0.818
Pd 0.500 0.000 0.182
Pd 0.500 0.000 0.500
Pd 0.500 0.000 0.818
Pd 0.500 0.500 0.000
Pd 0.500 0.500 0.340
Pd 0.500 0.500 0.660

***

[5]
# MnBeGe
Simulated powder diffraction line list, Cu Kα. Input: the GGA-PBE geometry in Alexandria.
Neutral-atom scattering factors, no anomalous dispersion.

Peak list (10 most intense, 2θ from 5° to 70°, low angle first)
| 2θ/deg | I_rel |
| --- | --- |
| 26.6 | 73 |
| 31.7 | 17 |
| 36.4 | 100 |
| 38.5 | 40 |
| 45.1 | 56 |
| 46.1 | 74 |
| 46.5 | 44 |
| 48.1 | 24 |
| 53.5 | 35 |
| 56.2 | 20 |

Structure:
Unit cell a=4.414 b=4.414 c=5.641 alpha=90.00 beta=90.00 gamma=141.55
Fractional coordinates of all 6 atoms:
Mn 0.059 0.941 0.500
Mn 0.941 0.059 0.000
Be 0.377 0.623 0.295
Be 0.623 0.377 0.795
Ge 0.338 0.662 0.689
Ge 0.662 0.338 0.189

***

[6]
# Ca2HgPbCl8
Simulated powder diffraction line list, Cu Kα. Input: the GGA-PBE geometry in Alexandria.
Neutral-atom scattering factors, no anomalous dispersion.

Peak list (10 most intense, 2θ from 5° to 70°, low angle first)
| 2θ/deg | I_rel |
| --- | --- |
| 13.4 | 39 |
| 13.9 | 35 |
| 19.3 | 100 |
| 25.0 | 23 |
| 25.3 | 39 |
| 28.7 | 48 |
| 30.4 | 21 |
| 37.3 | 38 |
| 37.9 | 54 |
| 46.4 | 22 |

Structure:
Unit cell a=6.373 b=8.464 c=6.617 alpha=90.00 beta=90.23 gamma=90.00
Fractional coordinates of all 12 atoms:
Ca 0.000 0.243 0.000
Ca 0.000 0.757 0.000
Hg 0.500 0.000 0.500
Pb 0.500 0.500 0.500
Cl 0.215 0.500 0.843
Cl 0.226 0.000 0.832
Cl 0.271 0.234 0.332
Cl 0.271 0.766 0.332
Cl 0.729 0.234 0.668
Cl 0.729 0.766 0.668
Cl 0.774 0.000 0.168
Cl 0.785 0.500 0.157